Entry 1:
Theoretical XRD peak list of LuNbTcOs for λ = 1.5418 Å (Cu Kα), from DFT lattice parameters and positions (GGA-PBE).

Top 5 peaks for 5° ≤ 2θ ≤ 70°, in order of rising 2θ:
d/Å, Rel. int., (hkl)
3.757, 10, 1 1 1
2.301, 100, 2 2 0
1.962, 6, 3 1 1
1.627, 17, 4 0 0
1.493, 2, 3 3 1

Unit cell a=6.508 b=6.508 c=6.508 alpha=90.00 beta=90.00 gamma=90.00
Fractional positions:
Lu 0.000 0.000 0.000
Lu 0.000 0.500 0.500
Lu 0.500 0.000 0.500
Lu 0.500 0.500 0.000
Nb 0.000 0.000 0.500
Nb 0.000 0.500 0.000
Nb 0.500 0.000 0.000
Nb 0.500 0.500 0.500
Tc 0.250 0.250 0.250
Tc 0.250 0.750 0.750
Tc 0.750 0.250 0.750
Tc 0.750 0.750 0.250
Os 0.250 0.250 0.750
Os 0.250 0.750 0.250
Os 0.750 0.250 0.250
Os 0.750 0.750 0.750

=====

Entry 2:
Theoretical XRD peak list of LuNbTc2 for λ = 1.5418 Å (Cu Kα), from DFT lattice parameters and positions (GGA-PBE).

Top 10 peaks for 5° ≤ 2θ ≤ 70°, in order of rising 2θ:
d/Å, Rel. int., (hkl)
4.632, 8, 1 0 0
3.275, 3, 1 1 0
3.245, 1, 0 0 1
2.657, 4, 1 0 1
2.316, 51, 2 0 0
2.305, 100, 1 1 1
2.071, 2, 2 1 0
1.746, 2, 2 1 1
1.638, 17, 2 2 0
1.622, 8, 0 0 2

Unit cell a=4.632 b=4.632 c=3.245 alpha=90.00 beta=90.00 gamma=90.00
Fractional positions:
Lu 0.000 0.000 0.000
Nb 0.500 0.500 0.000
Tc 0.000 0.500 0.500
Tc 0.500 0.000 0.500